[1]
Computed powder XRD pattern of K3Tl4Sb2 for a wavelength of 1.5418 Å, from the GGA-PBE geometry in Alexandria.

Largest 8 diffraction maxima, by intensity, 2θ = 10–90°:
- 12.35°, I = 100
- 30.76°, I = 85
- 34.96°, I = 38
- 32.21°, I = 38
- 30.23°, I = 38
- 33.00°, I = 37
- 31.32°, I = 37
- 10.03°, I = 27

Structure:
Lattice parameters (Å, degrees): 9.2560 9.2560 8.9287 106.51 106.51 91.28
Atoms (fractional coordinates):
1 K 0.1089 0.8911 0.7500
2 K 0.2456 0.4299 0.4556
3 K 0.4299 0.2456 0.9556
4 K 0.5701 0.7544 0.0444
5 K 0.7544 0.5701 0.5444
6 K 0.8911 0.1089 0.2500
7 Tl 0.0442 0.7353 0.3304
8 Tl 0.1985 0.5605 0.9775
9 Tl 0.2647 0.9558 0.1696
10 Tl 0.4395 0.8015 0.5225
11 Tl 0.5605 0.1985 0.4775
12 Tl 0.7353 0.0442 0.8304
13 Tl 0.8015 0.4395 0.0225
14 Tl 0.9558 0.2647 0.6696
15 Sb 0.0768 0.2534 0.0255
16 Sb 0.2534 0.0768 0.5255
17 Sb 0.7466 0.9232 0.4745
18 Sb 0.9232 0.7466 0.9745

=====

[2]
Computed powder XRD pattern of Ta2Be16Cr for a wavelength of 1.5418 Å, from the GGA-PBE geometry in Alexandria.

Largest 8 diffraction maxima, by intensity, 2θ = 10–90°:
- 23.70°, I = 100
- 34.71°, I = 59
- 15.95°, I = 36
- 41.66°, I = 29
- 49.20°, I = 29
- 48.49°, I = 21
- 36.35°, I = 20
- 24.99°, I = 20

Structure:
Lattice parameters (Å, degrees): 5.6114 5.6114 5.6114 84.00 84.00 84.00
Atoms (fractional coordinates):
1 Ta 0.0000 0.0000 0.0000
2 Ta 0.3122 0.3122 0.3122
3 Be 0.0086 0.0086 0.5017
4 Be 0.0086 0.5017 0.0086
5 Be 0.1621 0.6585 0.6585
6 Be 0.3121 0.3121 0.8219
7 Be 0.3121 0.8219 0.3121
8 Be 0.3681 0.6610 0.9563
9 Be 0.3681 0.9563 0.6610
10 Be 0.5017 0.0086 0.0086
11 Be 0.5476 0.5476 0.5476
12 Be 0.6585 0.1621 0.6585
13 Be 0.6585 0.6585 0.1621
14 Be 0.6610 0.3681 0.9563
15 Be 0.6610 0.9563 0.3681
16 Be 0.8219 0.3121 0.3121
17 Be 0.9563 0.3681 0.6610
18 Be 0.9563 0.6610 0.3681
19 Cr 0.7565 0.7565 0.7565